Structure and computed X-ray powder pattern of MgPHO9 (DFT lattice parameters and positions (PBE); CuKα).
Intensities are scaled so that the largest is 100.

Main lines, in order of rising 2θ (2θ from 15° to 90°):
2θ (°)	intensity
22.77	39
23.68	41
23.87	41
24.08	39
28.15	30
28.33	59
29.99	80
32.81	100
33.35	99
33.65	96

a b c (Å): 5.339 5.383 5.470
angles (deg): 92.10 92.56 92.65
Element x y z (fractional)
Mg  0.000  0.000  0.000
P  0.543  0.537  0.538
H  0.381  0.380  0.383
O  0.041  0.935  0.590
O  0.059  0.409  0.973
O  0.410  0.976  0.059
O  0.476  0.807  0.500
O  0.503  0.471  0.804
O  0.592  0.045  0.931
O  0.814  0.493  0.472
O  0.935  0.589  0.051
O  0.979  0.058  0.407


Structure and computed X-ray powder pattern of LaBi2IO4 (DFT lattice parameters and positions (PBE); CuKα).
Intensities are scaled so that the largest is 100.

Main lines, in order of rising 2θ (2θ from 15° to 90°):
2θ (°)	intensity
28.66	100
31.33	33
36.72	11
44.90	18
49.02	25
54.14	35
59.34	11
61.27	11
79.11	10
85.85	10

a b c (Å): 4.037 4.037 9.790
angles (deg): 90.00 90.00 90.00
Element x y z (fractional)
La  0.000  0.000  0.000
Bi  0.500  0.500  0.263
Bi  0.500  0.500  0.737
I  0.000  0.000  0.500
O  0.000  0.500  0.154
O  0.000  0.500  0.846
O  0.500  0.000  0.154
O  0.500  0.000  0.846


Structure and computed X-ray powder pattern of Mg9Si5 (DFT lattice parameters and positions (PBE); CuKα).
Intensities are scaled so that the largest is 100.

Main lines, in order of rising 2θ (2θ from 15° to 90°):
2θ (°)	intensity
33.35	72
33.53	56
35.82	53
36.28	77
36.61	100
36.77	52
37.13	82
37.54	49
38.06	78
46.09	50

a b c (Å): 7.245 7.316 12.351
angles (deg): 73.12 81.16 61.47
Element x y z (fractional)
Mg  0.000  0.000  0.000
Mg  0.003  0.825  0.291
Mg  0.059  0.214  0.370
Mg  0.189  0.484  0.155
Mg  0.222  0.461  0.654
Mg  0.225  0.283  0.974
Mg  0.273  0.689  0.825
Mg  0.353  0.769  0.450
Mg  0.486  0.748  0.004
Mg  0.512  0.948  0.624
Mg  0.551  0.084  0.339
Mg  0.622  0.122  0.823
Mg  0.634  0.323  0.485
Mg  0.648  0.947  0.118
Mg  0.820  0.336  0.150
Mg  0.822  0.460  0.822
Mg  0.840  0.599  0.504
Mg  0.999  0.131  0.648
Si  0.246  0.086  0.815
Si  0.249  0.019  0.191
Si  0.257  0.393  0.439
Si  0.430  0.592  0.259
Si  0.569  0.347  0.989
Si  0.571  0.511  0.658
Si  0.745  0.603  0.298
Si  0.901  0.693  0.964
Si  0.903  0.798  0.728
Si  0.918  0.923  0.503


Structure and computed X-ray powder pattern of Ba2MgBiSbO6 (DFT lattice parameters and positions (PBE); CuKα).
Intensities are scaled so that the largest is 100.

Main lines, in order of rising 2θ (2θ from 15° to 90°):
2θ (°)	intensity
25.54	95
27.77	100
28.59	49
31.24	24
32.74	28
39.66	17
42.85	25
44.02	36
50.14	22
57.35	15

a b c (Å): 6.849 6.849 5.506
angles (deg): 107.77 107.77 54.24
Element x y z (fractional)
Ba  0.215  0.215  0.195
Ba  0.785  0.785  0.805
Mg  0.500  0.500  0.500
Bi  0.000  0.000  0.500
Sb  0.500  0.500  0.000
O  0.206  0.635  0.176
O  0.365  0.794  0.824
O  0.367  0.367  0.665
O  0.633  0.633  0.335
O  0.635  0.206  0.176
O  0.794  0.365  0.824


Structure and computed X-ray powder pattern of Sm12SnGe4S28 (DFT lattice parameters and positions (PBE); CuKα).
Intensities are scaled so that the largest is 100.

Main lines, in order of rising 2θ (2θ from 15° to 90°):
2θ (°)	intensity
20.32	30
23.36	28
25.51	100
26.99	20
35.58	39
37.08	32
37.19	34
40.31	29
41.41	24
50.35	20

a b c (Å): 10.102 11.608 11.636
angles (deg): 119.87 115.71 90.02
Element x y z (fractional)
Sm  0.000  0.000  0.000
Sm  0.000  0.470  0.980
Sm  0.091  0.282  0.565
Sm  0.107  0.773  0.587
Sm  0.215  0.403  0.343
Sm  0.241  0.926  0.354
Sm  0.504  0.522  0.085
Sm  0.524  0.046  0.093
Sm  0.641  0.673  0.848
Sm  0.650  0.168  0.875
Sm  0.734  0.973  0.449
Sm  0.747  0.452  0.440
Sn  0.872  0.709  0.218
Ge  0.204  0.724  0.888
Ge  0.206  0.220  0.882
Ge  0.537  0.309  0.551
Ge  0.539  0.808  0.553
S  0.024  0.947  0.464
S  0.039  0.475  0.484
S  0.122  0.637  0.308
S  0.133  0.137  0.315
S  0.204  0.532  0.883
S  0.205  0.034  0.888
S  0.284  0.414  0.115
S  0.292  0.921  0.119
S  0.346  0.256  0.791
S  0.360  0.766  0.814
S  0.390  0.929  0.635
S  0.392  0.431  0.638
S  0.452  0.271  0.320
S  0.455  0.772  0.320
S  0.532  0.612  0.538
S  0.544  0.127  0.566
S  0.607  0.294  0.123
S  0.625  0.777  0.124
S  0.706  0.958  0.956
S  0.711  0.467  0.968
S  0.770  0.462  0.699
S  0.770  0.960  0.698
S  0.774  0.172  0.383
S  0.782  0.673  0.379
S  0.965  0.257  0.050
S  0.966  0.749  0.065
S  0.971  0.733  0.747
S  0.977  0.223  0.727


Structure and computed X-ray powder pattern of TaTiSe4 (DFT lattice parameters and positions (PBE); CuKα).
Intensities are scaled so that the largest is 100.

Main lines, in order of rising 2θ (2θ from 15° to 90°):
2θ (°)	intensity
19.93	21
32.30	51
32.48	100
40.43	17
40.59	79
51.75	41
51.84	31
52.08	15
62.63	15
80.50	17

a b c (Å): 6.119 3.512 6.501
angles (deg): 90.00 90.18 90.00
Element x y z (fractional)
Ta  0.000  0.000  0.000
Ti  0.500  0.500  0.000
Se  0.169  0.500  0.249
Se  0.337  0.000  0.756
Se  0.663  0.000  0.244
Se  0.831  0.500  0.751


Structure and computed X-ray powder pattern of Ce5CuSn3 (DFT lattice parameters and positions (PBE); CuKα).
Intensities are scaled so that the largest is 100.

Main lines, in order of rising 2θ (2θ from 15° to 90°):
2θ (°)	intensity
32.01	74
32.73	79
33.62	100
42.09	15
47.63	28
50.49	14
51.74	19
58.99	13
64.88	12
67.42	20

a b c (Å): 9.477 9.477 6.449
angles (deg): 90.00 90.00 120.00
Element x y z (fractional)
Ce  0.000  0.265  0.250
Ce  0.000  0.735  0.750
Ce  0.265  0.000  0.250
Ce  0.265  0.265  0.750
Ce  0.333  0.667  0.000
Ce  0.333  0.667  0.500
Ce  0.667  0.333  0.000
Ce  0.667  0.333  0.500
Ce  0.735  0.000  0.750
Ce  0.735  0.735  0.250
Cu  0.000  0.000  0.000
Cu  0.000  0.000  0.500
Sn  0.000  0.384  0.750
Sn  0.000  0.616  0.250
Sn  0.384  0.000  0.750
Sn  0.384  0.384  0.250
Sn  0.616  0.000  0.250
Sn  0.616  0.616  0.750


Structure and computed X-ray powder pattern of SmSe2O8 (DFT lattice parameters and positions (PBE); CuKα).
Intensities are scaled so that the largest is 100.

Main lines, in order of rising 2θ (2θ from 15° to 90°):
2θ (°)	intensity
22.01	92
25.50	100
25.86	69
27.26	48
28.76	36
29.83	98
29.98	75
30.35	94
34.25	55
48.42	65

a b c (Å): 6.597 7.157 16.156
angles (deg): 90.00 90.00 90.00
Element x y z (fractional)
Sm  0.118  0.096  0.276
Sm  0.382  0.904  0.776
Sm  0.618  0.404  0.724
Sm  0.882  0.596  0.224
Se  0.135  0.278  0.058
Se  0.144  0.384  0.783
Se  0.356  0.616  0.283
Se  0.365  0.722  0.558
Se  0.635  0.222  0.942
Se  0.644  0.116  0.217
Se  0.856  0.884  0.717
Se  0.865  0.778  0.442
O  0.002  0.455  0.101
O  0.003  0.707  0.525
O  0.030  0.909  0.793
O  0.111  0.235  0.526
O  0.123  0.321  0.461
O  0.158  0.108  0.129
O  0.185  0.778  0.241
O  0.192  0.426  0.270
O  0.308  0.574  0.770
O  0.315  0.222  0.741
O  0.342  0.892  0.629
O  0.377  0.679  0.961
O  0.389  0.765  0.026
O  0.470  0.091  0.293
O  0.497  0.293  0.025
O  0.498  0.545  0.601
O  0.502  0.045  0.899
O  0.503  0.793  0.475
O  0.530  0.591  0.207
O  0.611  0.265  0.474
O  0.623  0.179  0.539
O  0.658  0.392  0.871
O  0.685  0.722  0.759
O  0.692  0.074  0.730
O  0.808  0.926  0.230
O  0.815  0.278  0.259
O  0.842  0.608  0.371
O  0.877  0.821  0.039
O  0.889  0.735  0.974
O  0.970  0.409  0.707
O  0.997  0.207  0.975
O  0.998  0.955  0.399


Structure and computed X-ray powder pattern of BaEu3 (DFT lattice parameters and positions (PBE); CuKα).
Intensities are scaled so that the largest is 100.

Main lines, in order of rising 2θ (2θ from 15° to 90°):
2θ (°)	intensity
26.03	100
30.15	52
43.16	39
51.09	47
53.54	14
62.68	6
69.05	19
71.11	18
79.13	13
85.01	15

a b c (Å): 5.929 5.929 5.929
angles (deg): 90.00 90.00 90.00
Element x y z (fractional)
Ba  0.000  0.000  0.000
Eu  0.000  0.500  0.500
Eu  0.500  0.000  0.500
Eu  0.500  0.500  0.000


Structure and computed X-ray powder pattern of LiSn2P3O12 (DFT lattice parameters and positions (PBE); CuKα).
Intensities are scaled so that the largest is 100.

Main lines, in order of rising 2θ (2θ from 15° to 90°):
2θ (°)	intensity
20.06	100
20.27	86
23.72	52
28.67	55
32.00	47
35.37	41
35.49	36
45.94	22
52.75	22
55.46	41

a b c (Å): 8.853 8.853 8.853
angles (deg): 59.32 59.32 59.32
Element x y z (fractional)
Li  0.000  0.000  0.000
Li  0.500  0.500  0.500
Sn  0.143  0.143  0.143
Sn  0.357  0.357  0.357
Sn  0.643  0.643  0.643
Sn  0.857  0.857  0.857
P  0.044  0.750  0.456
P  0.250  0.544  0.956
P  0.456  0.044  0.750
P  0.544  0.956  0.250
P  0.750  0.456  0.044
P  0.956  0.250  0.544
O  0.010  0.804  0.613
O  0.060  0.914  0.267
O  0.086  0.733  0.940
O  0.113  0.304  0.510
O  0.196  0.387  0.990
O  0.233  0.586  0.440
O  0.267  0.060  0.914
O  0.304  0.510  0.113
O  0.387  0.990  0.196
O  0.414  0.560  0.767
O  0.440  0.233  0.586
O  0.490  0.887  0.696
O  0.510  0.113  0.304
O  0.560  0.767  0.414
O  0.586  0.440  0.233
O  0.613  0.010  0.804
O  0.696  0.490  0.887
O  0.733  0.940  0.086
O  0.767  0.414  0.560
O  0.804  0.613  0.010
O  0.887  0.696  0.490
O  0.914  0.267  0.060
O  0.940  0.086  0.733
O  0.990  0.196  0.387